Entry 1:
The following is a calculated powder diffraction line list of Tl6InHg3. It was derived from a GGA-PBE-relaxed structure, using Cu Ka.
Lines closer than 0.1° are merged.

Crystal structure
a = 6.7102 Å, b = 6.7102 Å, c = 6.7102 Å
α = 87.80°, β = 87.80°, γ = 87.80°
Atoms (fractional coordinates):
Tl: 0.0019 0.6744 0.3237
Tl: 0.1764 0.5050 0.8212
Tl: 0.3237 0.0019 0.6744
Tl: 0.5050 0.8212 0.1764
Tl: 0.6744 0.3237 0.0019
Tl: 0.8212 0.1764 0.5050
In: 0.1389 0.1389 0.1389
Hg: 0.3867 0.3867 0.3867
Hg: 0.6383 0.6383 0.6383
Hg: 0.8862 0.8862 0.8862

Principal peaks in the range 2θ from 5° to 70°, sorted by position:
| 2θ/deg | I (rel.) |
| --- | --- |
| 29.36 | 82 |
| 31.69 | 14 |
| 33.35 | 100 |
| 37.25 | 13 |
| 42.17 | 16 |
| 45.04 | 31 |
| 49.39 | 7 |
| 57.20 | 41 |
| 58.57 | 8 |
| 59.61 | 19 |

=====

Entry 2:
The following is a calculated powder diffraction line list of SmDy12Er5. It was derived from a GGA-PBE-relaxed structure, using Cu Ka.
Lines closer than 0.1° are merged.

Crystal structure
a = 10.6001 Å, b = 4.9971 Å, c = 10.6136 Å
α = 90.00°, β = 90.10°, γ = 90.00°
Atoms (fractional coordinates):
Sm: 0.0000 0.0000 0.0000
Dy: 0.9997 0.0000 0.3342
Dy: 0.0003 0.0000 0.6658
Dy: 0.1674 0.5000 0.1673
Dy: 0.1676 0.5000 0.5004
Dy: 0.3341 0.0000 0.9997
Dy: 0.3340 0.0000 0.3340
Dy: 0.5004 0.5000 0.1676
Dy: 0.4996 0.5000 0.8324
Dy: 0.6659 0.0000 0.0003
Dy: 0.6660 0.0000 0.6660
Dy: 0.8324 0.5000 0.4996
Dy: 0.8326 0.5000 0.8327
Er: 0.1676 0.5000 0.8324
Er: 0.3335 0.0000 0.6666
Er: 0.5000 0.5000 0.5000
Er: 0.6665 0.0000 0.3334
Er: 0.8324 0.5000 0.1676

Principal peaks in the range 2θ from 5° to 70°, sorted by position:
| 2θ/deg | I (rel.) |
| --- | --- |
| 30.98 | 100 |
| 35.93 | 51 |
| 51.72 | 36 |
| 61.50 | 29 |
| 61.57 | 14 |
| 64.58 | 12 |

=====

Entry 3:
The following is a calculated powder diffraction line list of Al3In6I14. It was derived from a GGA-PBE-relaxed structure, using Cu Ka.
Lines closer than 0.1° are merged.

Crystal structure
a = 12.7966 Å, b = 12.7966 Å, c = 6.9480 Å
α = 90.00°, β = 90.00°, γ = 120.00°
Atoms (fractional coordinates):
Al: 0.0000 0.0000 0.0000
Al: 0.3333 0.6667 0.1591
Al: 0.6667 0.3333 0.4902
In: 0.1114 0.3260 0.3899
In: 0.2146 0.8886 0.3899
In: 0.4467 0.4447 0.8707
In: 0.5553 0.0020 0.8707
In: 0.6740 0.7854 0.3899
In: 0.9980 0.5533 0.8707
I: 0.0000 0.0000 0.6340
I: 0.1114 0.5922 0.3908
I: 0.1841 0.4451 0.9228
I: 0.2154 0.1404 0.1271
I: 0.2610 0.8159 0.9228
I: 0.4078 0.5192 0.3908
I: 0.4520 0.1901 0.6187
I: 0.4808 0.8886 0.3908
I: 0.5549 0.7390 0.9228
I: 0.6667 0.3333 0.1247
I: 0.7381 0.5480 0.6187
I: 0.8099 0.2619 0.6187
I: 0.8596 0.0750 0.1271
I: 0.9250 0.7846 0.1271

Principal peaks in the range 2θ from 5° to 70°, sorted by position:
| 2θ/deg | I (rel.) |
| --- | --- |
| 21.21 | 34 |
| 24.82 | 100 |
| 26.90 | 77 |
| 27.34 | 79 |
| 29.05 | 73 |
| 30.37 | 40 |
| 31.84 | 71 |
| 33.51 | 32 |
| 44.71 | 34 |
| 45.71 | 29 |

=====

Entry 4:
The following is a calculated powder diffraction line list of Pr8AsPb5. It was derived from a GGA-PBE-relaxed structure, using Cu Ka.
Lines closer than 0.1° are merged.

Crystal structure
a = 8.3837 Å, b = 8.3837 Å, c = 8.3837 Å
α = 109.66°, β = 109.66°, γ = 109.09°
Atoms (fractional coordinates):
Pr: 0.0156 0.6413 0.7627
Pr: 0.2328 0.4806 0.1085
Pr: 0.3587 0.1214 0.3743
Pr: 0.3721 0.1243 0.8915
Pr: 0.5194 0.6279 0.7522
Pr: 0.7471 0.9844 0.6257
Pr: 0.8757 0.7672 0.2478
Pr: 0.8786 0.2529 0.2373
As: 0.0000 0.0000 0.0000
Pb: 0.1246 0.2546 0.6262
Pb: 0.2500 0.7500 0.5000
Pb: 0.5015 0.8754 0.1299
Pb: 0.6284 0.4985 0.3738
Pb: 0.7454 0.3716 0.8701

Principal peaks in the range 2θ from 5° to 70°, sorted by position:
| 2θ/deg | I (rel.) |
| --- | --- |
| 22.49 | 16 |
| 29.05 | 46 |
| 29.23 | 100 |
| 34.63 | 63 |
| 34.74 | 28 |
| 41.80 | 19 |
| 43.86 | 20 |
| 45.98 | 13 |
| 47.87 | 23 |
| 58.90 | 29 |

=====

Entry 5:
The following is a calculated powder diffraction line list of Ac5Sn2Hg. It was derived from a GGA-PBE-relaxed structure, using Cu Ka.
Lines closer than 0.1° are merged.

Crystal structure
a = 10.0729 Å, b = 10.0729 Å, c = 10.0729 Å
α = 128.97°, β = 128.97°, γ = 75.06°
Atoms (fractional coordinates):
Ac: 0.0000 0.0000 0.0000
Ac: 0.0234 0.5234 0.8416
Ac: 0.1818 0.0234 0.5000
Ac: 0.3182 0.8182 0.8416
Ac: 0.4766 0.3182 0.5000
Ac: 0.5000 0.5000 0.0000
Ac: 0.5234 0.6818 0.5000
Ac: 0.6818 0.1818 0.1584
Ac: 0.8182 0.9766 0.5000
Ac: 0.9766 0.4766 0.1584
Sn: 0.1274 0.3726 0.5000
Sn: 0.3726 0.8726 0.2453
Sn: 0.6274 0.1274 0.7547
Sn: 0.8726 0.6274 0.5000
Hg: 0.2500 0.2500 0.0000
Hg: 0.7500 0.7500 0.0000

Principal peaks in the range 2θ from 5° to 70°, sorted by position:
| 2θ/deg | I (rel.) |
| --- | --- |
| 23.59 | 12 |
| 26.63 | 22 |
| 28.46 | 100 |
| 29.10 | 18 |
| 30.42 | 46 |
| 32.63 | 54 |
| 46.39 | 20 |
| 50.11 | 19 |
| 57.04 | 18 |
| 59.00 | 12 |

=====

Entry 6:
The following is a calculated powder diffraction line list of Pm10PrEr6. It was derived from a GGA-PBE-relaxed structure, using Cu Ka.
Lines closer than 0.1° are merged.

Crystal structure
a = 9.8068 Å, b = 9.8068 Å, c = 6.8861 Å
α = 90.00°, β = 90.00°, γ = 120.00°
Atoms (fractional coordinates):
Pm: 0.0000 0.2782 0.3193
Pm: 0.0000 0.7218 0.6807
Pm: 0.2782 0.0000 0.3193
Pm: 0.2782 0.2782 0.6807
Pm: 0.3333 0.6667 0.0000
Pm: 0.3333 0.6667 0.5000
Pm: 0.6667 0.3333 0.0000
Pm: 0.6667 0.3333 0.5000
Pm: 0.7218 0.0000 0.6807
Pm: 0.7218 0.7218 0.3193
Pr: 0.0000 0.0000 0.0000
Er: 0.0000 0.3711 0.8102
Er: 0.0000 0.6289 0.1898
Er: 0.3711 0.0000 0.8102
Er: 0.3711 0.3711 0.1898
Er: 0.6289 0.0000 0.1898
Er: 0.6289 0.6289 0.8102

Principal peaks in the range 2θ from 5° to 70°, sorted by position:
| 2θ/deg | I (rel.) |
| --- | --- |
| 30.73 | 39 |
| 31.60 | 81 |
| 31.76 | 100 |
| 40.47 | 11 |
| 45.41 | 26 |
| 48.56 | 13 |
| 56.36 | 26 |
| 56.67 | 19 |
| 59.10 | 10 |
| 62.35 | 11 |

=====

Entry 7:
The following is a calculated powder diffraction line list of UIr4. It was derived from a GGA-PBE-relaxed structure, using Cu Ka.
Lines closer than 0.1° are merged.

Crystal structure
a = 7.7273 Å, b = 7.7273 Å, c = 7.7273 Å
α = 148.36°, β = 136.99°, γ = 54.37°
Atoms (fractional coordinates):
U: 0.3588 0.1088 0.2500
U: 0.6412 0.8912 0.7500
Ir: 0.0000 0.5000 0.5000
Ir: 0.1449 0.8949 0.2500
Ir: 0.1836 0.6955 0.4881
Ir: 0.2927 0.3045 0.9881
Ir: 0.5000 0.5000 0.0000
Ir: 0.7073 0.6955 0.0119
Ir: 0.8164 0.3045 0.5119
Ir: 0.8551 0.1051 0.7500

Principal peaks in the range 2θ from 5° to 70°, sorted by position:
| 2θ/deg | I (rel.) |
| --- | --- |
| 38.86 | 89 |
| 39.12 | 100 |
| 41.30 | 37 |
| 42.93 | 40 |
| 43.25 | 16 |
| 51.29 | 19 |
| 61.09 | 24 |
| 65.96 | 11 |
| 68.22 | 9 |
| 69.04 | 16 |